1.
Starting from a crystal structure in the Materials Project, relaxed with GGA-PBE, the powder diffraction line list of LuSiAu was simulated for a wavelength of 1.5418 Å.
Neutral-atom scattering factors, no anomalous dispersion.

Atomic structure:
```
LuSiAu
1.0
4.3229 0.0000 0.0000
-2.1614 3.7437 0.0000
0.0000 0.0000 7.1739
Lu Si Au
2 2 2
direct
0.0000 0.0000 0.0000
0.0000 0.0000 0.5000
0.3333 0.6667 0.2115
0.3333 0.6667 0.7885
0.6667 0.3333 0.2813
0.6667 0.3333 0.7187
```

The 12 most intense peaks (5 to 70 degrees two-theta), low angle first:
| h k l | d/Å | 2theta | intensity |
| --- | --- | --- | --- |
| 1 0 0 | 3.744 | 23.8 | 33 |
| 1 0 1 | 3.319 | 26.9 | 4 |
| 1 0 2 | 2.590 | 34.6 | 100 |
| 1 1 0 | 2.161 | 41.8 | 50 |
| 1 0 3 | 2.015 | 45.0 | 7 |
| 2 0 0 | 1.872 | 48.6 | 5 |
| 0 0 4 | 1.793 | 50.9 | 6 |
| 2 0 2 | 1.659 | 55.4 | 27 |
| 1 0 4 | 1.617 | 56.9 | 5 |
| 2 0 3 | 1.474 | 63.1 | 3 |
| 2 1 0 | 1.415 | 66.0 | 4 |
| 1 1 4 | 1.380 | 67.9 | 16 |

---

2.
Starting from a crystal structure in the Materials Project, relaxed with GGA-PBE, the powder diffraction line list of Cu7S4 was simulated for a wavelength of 1.5418 Å.
Neutral-atom scattering factors, no anomalous dispersion.

Atomic structure:
```
Cu7S4
1.0
7.8293 0.0000 0.0000
0.0000 7.8731 0.0000
0.0000 0.0000 10.8893
Cu S
28 16
direct
0.0180 0.2500 0.0915
0.0209 0.2500 0.3477
0.0807 0.7500 0.3296
0.1730 0.0232 0.9260
0.1730 0.4768 0.9260
0.2351 0.0854 0.6596
0.2351 0.4146 0.6596
0.2649 0.5854 0.1596
0.2649 0.9146 0.1596
0.3270 0.5232 0.4260
0.3270 0.9768 0.4260
0.4193 0.2500 0.8296
0.4791 0.7500 0.8477
0.4820 0.7500 0.5915
0.5180 0.2500 0.4085
0.5209 0.2500 0.1523
0.5807 0.7500 0.1704
0.6730 0.0232 0.5740
0.6730 0.4768 0.5740
0.7351 0.0854 0.8404
0.7351 0.4146 0.8404
0.7649 0.5854 0.3404
0.7649 0.9146 0.3404
0.8270 0.5232 0.0740
0.8270 0.9768 0.0740
0.9193 0.2500 0.6704
0.9791 0.7500 0.6523
0.9820 0.7500 0.9085
0.0013 0.0021 0.2377
0.0013 0.4979 0.2377
0.2120 0.7500 0.5157
0.2447 0.2500 0.4841
0.2553 0.7500 0.9841
0.2880 0.2500 0.0157
0.4987 0.5021 0.7377
0.4987 0.9979 0.7377
0.5013 0.0021 0.2623
0.5013 0.4979 0.2623
0.7120 0.7500 0.9843
0.7447 0.2500 0.0159
0.7553 0.7500 0.5159
0.7880 0.2500 0.4843
0.9987 0.5021 0.7623
0.9987 0.9979 0.7623
```

The 12 most intense peaks (5 to 70 degrees two-theta), low angle first:
| h k l | d/Å | 2theta | intensity |
| --- | --- | --- | --- |
| 2 1 1 | 3.340 | 26.7 | 100 |
| 1 0 3 | 3.294 | 27.1 | 49 |
| 2 0 2 | 3.178 | 28.1 | 40 |
| 2 2 0 | 2.776 | 32.2 | 51 |
| 2 2 1 | 2.690 | 33.3 | 49 |
| 1 0 4 | 2.571 | 34.9 | 41 |
| 0 3 1 | 2.551 | 35.2 | 40 |
| 1 2 3 | 2.524 | 35.6 | 45 |
| 1 2 4 | 2.153 | 42.0 | 62 |
| 3 2 1 | 2.134 | 42.4 | 38 |
| 0 4 0 | 1.968 | 46.1 | 39 |
| 2 2 4 | 1.944 | 46.7 | 89 |

---

3.
Starting from a crystal structure in the Materials Project, relaxed with GGA-PBE, the powder diffraction line list of CePt was simulated for a wavelength of 1.5418 Å.
Neutral-atom scattering factors, no anomalous dispersion.

Atomic structure:
```
CePt
1.0
3.8554 0.0000 0.0000
0.0000 11.0976 0.0000
0.0000 0.0000 4.4283
Ce Pt
4 4
direct
0.0000 0.1364 0.2500
0.0000 0.8636 0.7500
0.5000 0.3636 0.7500
0.5000 0.6364 0.2500
0.0000 0.4053 0.2500
0.0000 0.5947 0.7500
0.5000 0.0947 0.7500
0.5000 0.9053 0.2500
```

The 12 most intense peaks (5 to 70 degrees two-theta), low angle first:
| h k l | d/Å | 2theta | intensity |
| --- | --- | --- | --- |
| 1 1 1 | 2.813 | 31.8 | 100 |
| 0 4 0 | 2.774 | 32.3 | 39 |
| 0 4 1 | 2.351 | 38.3 | 20 |
| 1 3 1 | 2.286 | 39.4 | 86 |
| 0 0 2 | 2.214 | 40.8 | 31 |
| 2 0 0 | 1.928 | 47.1 | 20 |
| 0 4 2 | 1.731 | 52.9 | 20 |
| 2 4 0 | 1.583 | 58.3 | 15 |
| 2 4 1 | 1.491 | 62.3 | 10 |
| 2 0 2 | 1.453 | 64.1 | 22 |
| 1 7 1 | 1.392 | 67.3 | 11 |
| 1 1 3 | 1.368 | 68.6 | 11 |